Record 1
Computed powder XRD pattern
Compound: Sc6Pb5
Radiation: Cu Kα X-rays
Structure: DFT lattice parameters and positions (PBE)
Peak positions follow from Bragg's law for the DFT cell and can differ from measured ones.

Structural model:
a = 11.169 Å, b = 11.169 Å, c = 11.169 Å
α = 132.40°, β = 58.66°, γ = 147.75°
Fractional positions:
Sc1 0.055 0.250 0.805
Sc2 0.061 0.233 0.294
Sc3 0.144 0.611 0.754
Sc4 0.356 0.111 0.467
Sc5 0.439 0.733 0.172
Sc6 0.445 0.250 0.195
Sc7 0.555 0.750 0.805
Sc8 0.561 0.267 0.828
Sc9 0.644 0.889 0.533
Sc10 0.856 0.389 0.246
Sc11 0.939 0.767 0.706
Sc12 0.945 0.750 0.195
Pb1 0.075 0.897 0.972
Pb2 0.207 0.303 0.509
Pb3 0.250 0.750 0.500
Pb4 0.293 0.803 0.096
Pb5 0.425 0.397 0.822
Pb6 0.575 0.603 0.178
Pb7 0.707 0.197 0.904
Pb8 0.750 0.250 0.500
Pb9 0.793 0.697 0.491
Pb10 0.925 0.103 0.028

Top 10 peaks for 10° ≤ 2θ ≤ 90°, by intensity:
d/Å	2theta	Rel. int.
3.580	24.9	100
3.525	25.3	90
2.660	33.7	65
2.606	34.4	62
2.673	33.5	53
4.090	21.7	51
1.861	48.9	46
1.360	69.1	43
2.901	30.8	41
2.727	32.8	41



Record 2
Computed powder XRD pattern
Compound: Pm4H2Se3
Radiation: Cu Kα X-rays
Structure: DFT lattice parameters and positions (PBE)
Peak positions follow from Bragg's law for the DFT cell and can differ from measured ones.

Structural model:
a = 8.100 Å, b = 8.100 Å, c = 6.226 Å
α = 94.05°, β = 94.05°, γ = 76.82°
Fractional positions:
Pm1 0.058 0.713 0.521
Pm2 0.255 0.431 0.051
Pm3 0.287 0.942 0.979
Pm4 0.431 0.255 0.551
Pm5 0.569 0.745 0.449
Pm6 0.713 0.058 0.021
Pm7 0.745 0.569 0.949
Pm8 0.942 0.287 0.479
H1 0.167 0.423 0.408
H2 0.423 0.167 0.908
H3 0.577 0.833 0.092
H4 0.833 0.577 0.592
Se1 0.008 0.760 0.016
Se2 0.240 0.992 0.484
Se3 0.396 0.604 0.750
Se4 0.604 0.396 0.250
Se5 0.760 0.008 0.516
Se6 0.992 0.240 0.984

Top 10 peaks for 10° ≤ 2θ ≤ 90°, by intensity:
d/Å	2theta	Rel. int.
3.242	27.5	100
3.100	28.8	66
3.161	28.2	62
2.120	42.7	38
3.417	26.1	34
2.846	31.4	34
2.901	30.8	31
2.516	35.7	28
2.320	38.8	27
2.215	40.7	23



Record 3
Computed powder XRD pattern
Compound: GeTe2As2
Radiation: Cu Kα X-rays
Structure: DFT lattice parameters and positions (PBE)
Peak positions follow from Bragg's law for the DFT cell and can differ from measured ones.

Structural model:
a = 8.067 Å, b = 8.067 Å, c = 3.939 Å
α = 90.00°, β = 90.00°, γ = 90.00°
Fractional positions:
Ge1 0.000 0.000 0.000
Ge2 0.500 0.500 0.000
Te1 0.159 0.341 0.500
Te2 0.341 0.841 0.500
Te3 0.659 0.159 0.500
Te4 0.841 0.659 0.500
As1 0.179 0.679 0.000
As2 0.321 0.179 0.000
As3 0.679 0.821 0.000
As4 0.821 0.321 0.000

Top 10 peaks for 10° ≤ 2θ ≤ 90°, by intensity:
d/Å	2theta	Rel. int.
2.661	33.7	100
2.551	35.2	37
1.752	52.2	28
1.559	59.3	16
3.241	27.5	13
1.970	46.1	13
4.034	22.0	13
1.400	66.8	13
2.852	31.4	11
1.902	47.8	10



Record 4
Computed powder XRD pattern
Compound: Cs2Tl2Ag
Radiation: Cu Kα X-rays
Structure: DFT lattice parameters and positions (PBE)
Peak positions follow from Bragg's law for the DFT cell and can differ from measured ones.

Structural model:
a = 5.296 Å, b = 6.447 Å, c = 12.771 Å
α = 90.00°, β = 90.00°, γ = 90.00°
Fractional positions:
Cs1 0.000 0.000 0.188
Cs2 0.000 0.000 0.812
Cs3 0.500 0.500 0.312
Cs4 0.500 0.500 0.688
Tl1 0.000 0.236 0.500
Tl2 0.000 0.764 0.500
Tl3 0.500 0.264 0.000
Tl4 0.500 0.736 0.000
Ag1 0.000 0.500 0.000
Ag2 0.500 0.000 0.500

Top 10 peaks for 10° ≤ 2θ ≤ 90°, by intensity:
d/Å	2theta	Rel. int.
2.692	33.3	100
3.318	26.9	65
6.386	13.9	58
1.873	48.6	53
3.552	25.1	43
2.648	33.9	39
3.445	25.9	37
2.878	31.1	35
3.193	27.9	28
1.949	46.6	23



Record 5
Computed powder XRD pattern
Compound: Nd3DyY2S6
Radiation: Cu Kα X-rays
Structure: DFT lattice parameters and positions (PBE)
Peak positions follow from Bragg's law for the DFT cell and can differ from measured ones.

Structural model:
a = 6.882 Å, b = 6.882 Å, c = 6.977 Å
α = 99.44°, β = 99.44°, γ = 120.17°
Fractional positions:
Nd1 0.000 0.000 0.000
Nd2 0.333 0.667 0.000
Nd3 0.667 0.333 0.000
Dy1 0.500 0.500 0.500
Y1 0.167 0.833 0.500
Y2 0.833 0.167 0.500
S1 0.089 0.422 0.265
S2 0.246 0.246 0.735
S3 0.422 0.089 0.265
S4 0.578 0.911 0.735
S5 0.754 0.754 0.265
S6 0.911 0.578 0.735

Top 10 peaks for 10° ≤ 2θ ≤ 90°, by intensity:
d/Å	2theta	Rel. int.
2.822	31.7	100
3.247	27.5	49
2.007	45.2	36
1.983	45.7	23
3.295	27.1	18
1.625	56.6	12
1.988	45.6	12
1.411	66.2	11
1.701	53.9	11
1.268	74.9	10



Record 6
Computed powder XRD pattern
Compound: Pr3TlSn2
Radiation: Cu Kα X-rays
Structure: DFT lattice parameters and positions (PBE)
Peak positions follow from Bragg's law for the DFT cell and can differ from measured ones.

Structural model:
a = 9.304 Å, b = 9.304 Å, c = 6.437 Å
α = 101.07°, β = 101.07°, γ = 41.46°
Fractional positions:
Pr1 0.135 0.865 0.750
Pr2 0.211 0.442 0.393
Pr3 0.442 0.211 0.893
Pr4 0.558 0.789 0.107
Pr5 0.789 0.558 0.607
Pr6 0.865 0.135 0.250
Tl1 0.371 0.629 0.250
Tl2 0.629 0.371 0.750
Sn1 0.052 0.267 0.062
Sn2 0.267 0.052 0.562
Sn3 0.733 0.948 0.438
Sn4 0.948 0.733 0.938

Top 10 peaks for 10° ≤ 2θ ≤ 90°, by intensity:
d/Å	2theta	Rel. int.
2.839	31.5	100
2.919	30.6	100
2.825	31.7	94
2.775	32.3	83
2.684	33.4	74
2.522	35.6	65
1.647	55.8	52
1.424	65.6	43
2.139	42.2	41
1.945	46.7	32



Record 7
Computed powder XRD pattern
Compound: RuPb2O4
Radiation: Cu Kα X-rays
Structure: DFT lattice parameters and positions (PBE)
Peak positions follow from Bragg's law for the DFT cell and can differ from measured ones.

Structural model:
a = 3.919 Å, b = 3.919 Å, c = 13.139 Å
α = 90.00°, β = 90.00°, γ = 90.00°
Fractional positions:
Ru1 0.000 0.000 0.000
Ru2 0.500 0.500 0.500
Pb1 0.000 0.000 0.348
Pb2 0.000 0.000 0.652
Pb3 0.500 0.500 0.152
Pb4 0.500 0.500 0.848
O1 0.000 0.000 0.159
O2 0.000 0.000 0.841
O3 0.000 0.500 0.000
O4 0.000 0.500 0.500
O5 0.500 0.000 0.000
O6 0.500 0.000 0.500
O7 0.500 0.500 0.341
O8 0.500 0.500 0.659

Top 10 peaks for 10° ≤ 2θ ≤ 90°, by intensity:
d/Å	2theta	Rel. int.
2.920	30.6	100
2.771	32.3	53
1.627	56.6	37
1.959	46.3	25
1.718	53.3	20
1.460	63.7	15
2.190	41.2	14
2.118	42.7	14
3.755	23.7	11
1.239	76.9	9